# Cr2BiMoOsRh
Theoretical XRD peak list, Cu Kα. Input: DFT lattice parameters and positions (GGA-PBE).
Neutral-atom scattering factors, no anomalous dispersion.

Main lines, low angle first (2θ from 10° to 80°):
hkl  two_theta  intensity
2 0 -1  23.22  29
1 1 0  30.07  28
4 0 1  33.44  24
1 1 -1  36.04  55
6 0 0  39.59  67
3 1 -1  40.51  98
3 1 1  41.22  100
2 0 -2  41.67  37
2 0 2  42.59  30
1 1 3  70.28  26

Structural model:
Unit cell a=13.6674 b=3.0452 c=4.5206 alpha=90.00 beta=92.01 gamma=90.00
Space group Cm (No. 8)
Symmetry-distinct sites (fractional):
Cr (0.0000, 0.0000, 0.0000) (multiplicity 2)
Cr (0.1203, 0.5000, 0.9954) (multiplicity 2)
Bi (0.3042, 0.0000, 0.1689) (multiplicity 2)
Mo (0.1414, 0.0000, 0.5292) (multiplicity 2)
Os (0.4842, 0.0000, 0.4819) (multiplicity 2)
Rh (0.3224, 0.5000, 0.6949) (multiplicity 2)



# TaCdRuRh
Theoretical XRD peak list, Cu Kα. Input: DFT lattice parameters and positions (GGA-PBE).
Neutral-atom scattering factors, no anomalous dispersion.

Main lines, low angle first (2θ from 10° to 80°):
hkl  two_theta  intensity
1 1 1  24.21  4
2 0 0  28.02  4
2 2 0  40.05  100
3 1 1  47.35  2
2 2 2  49.59  1
4 0 0  57.93  17
3 3 1  63.70  1
4 2 0  65.56  1
4 2 2  72.75  34
5 1 1  77.96  1

Structural model:
Unit cell a=6.3678 b=6.3678 c=6.3678 alpha=90.00 beta=90.00 gamma=90.00
Space group F-43m (No. 216)
Symmetry-distinct sites (fractional):
Ta (0.0000, 0.0000, 0.0000) (multiplicity 4)
Cd (0.0000, 0.0000, 0.5000) (multiplicity 4)
Ru (0.2500, 0.2500, 0.7500) (multiplicity 4)
Rh (0.2500, 0.2500, 0.2500) (multiplicity 4)



# PuHg2Pb
Theoretical XRD peak list, Cu Kα. Input: DFT lattice parameters and positions (GGA-PBE).
Neutral-atom scattering factors, no anomalous dispersion.

Main lines, low angle first (2θ from 10° to 80°):
hkl  two_theta  intensity
2 2 0  32.88  100
0 4 0  36.80  19
2 0 2  38.80  32
2 4 2  54.55  24
4 0 0  56.04  11
2 6 0  63.82  15
4 2 2  66.52  27
4 4 0  68.94  12
0 8 0  78.30  2

Structural model:
Unit cell a=6.5644 b=9.7682 c=6.5634 alpha=90.00 beta=90.00 gamma=90.00
Space group Imma (No. 74)
Symmetry-distinct sites (fractional):
Pu (0.0000, 0.2500, 0.0007) (multiplicity 4)
Hg (0.2500, 0.0001, 0.2500) (multiplicity 8)
Pb (0.0000, 0.2500, 0.5007) (multiplicity 4)



# Ba2Sr4Bi3O2
Theoretical XRD peak list, Cu Kα. Input: DFT lattice parameters and positions (GGA-PBE).
Neutral-atom scattering factors, no anomalous dispersion.

Main lines, low angle first (2θ from 10° to 80°):
hkl  two_theta  intensity
1 0 1  17.55  25
1 1 0  24.50  24
0 0 8  25.35  32
1 0 7  28.25  25
1 1 6  31.18  100
2 0 0  34.93  50
2 1 7  45.51  14
2 2 0  50.22  18
2 0 12  52.97  14
3 1 6  60.31  31

Structural model:
Unit cell a=5.1379 b=5.1379 c=28.0430 alpha=90.00 beta=90.00 gamma=90.00
Space group I4/mmm (No. 139)
Symmetry-distinct sites (fractional):
Ba (0.0000, 0.0000, 0.1917) (multiplicity 4)
Sr (0.0000, 0.5000, 0.0826) (multiplicity 8)
Bi (0.0000, 0.0000, 0.3277) (multiplicity 4)
Bi (0.0000, 0.0000, 0.5000) (multiplicity 2)
O (0.0000, 0.0000, 0.0987) (multiplicity 4)



# Er2In2Ag3
Theoretical XRD peak list, Cu Kα. Input: DFT lattice parameters and positions (GGA-PBE).
Neutral-atom scattering factors, no anomalous dispersion.

Main lines, low angle first (2θ from 10° to 80°):
hkl  two_theta  intensity
1 1 1  33.48  100
1 3 1  35.66  19
1 7 0  35.90  95
0 6 1  37.07  28
2 0 0  39.85  37
0 8 1  43.73  29
2 6 1  55.55  17
2 8 1  60.64  22
1 7 2  67.09  29
2 0 2  69.69  16

Structural model:
Unit cell a=4.5242 b=21.0157 c=3.3616 alpha=90.00 beta=90.00 gamma=90.00
Space group Cmmm (No. 65)
Symmetry-distinct sites (fractional):
Er (0.0000, 0.1429, 0.0000) (multiplicity 4)
In (0.0000, 0.2912, 0.5000) (multiplicity 4)
Ag (0.0000, 0.0000, 0.0000) (multiplicity 2)
Ag (0.0000, 0.4341, 0.5000) (multiplicity 4)



# SrBi2Au6
Theoretical XRD peak list, Cu Kα. Input: DFT lattice parameters and positions (GGA-PBE).
Neutral-atom scattering factors, no anomalous dispersion.

Main lines, low angle first (2θ from 10° to 80°):
hkl  two_theta  intensity
2 0 -1  22.93  32
1 1 -1  24.89  32
3 1 -1  27.94  57
0 2 1  32.64  100
6 0 0  38.13  46
3 3 0  39.70  98
1 3 1  43.46  29
2 0 -2  44.98  46
1 3 2  61.47  28
5 3 -2  61.59  28

Structural model:
Unit cell a=14.7105 b=7.7691 c=4.0298 alpha=90.00 beta=105.69 gamma=90.00
Space group C2/m (No. 12)
Symmetry-distinct sites (fractional):
Sr (0.0000, 0.0000, 0.0000) (multiplicity 2)
Bi (0.1411, 0.5000, 0.1409) (multiplicity 4)
Au (0.0000, 0.3139, 0.5000) (multiplicity 4)
Au (0.1794, 0.1839, 0.6796) (multiplicity 8)



# Rb2NaHgAu
Theoretical XRD peak list, Cu Kα. Input: DFT lattice parameters and positions (GGA-PBE).
Neutral-atom scattering factors, no anomalous dispersion.

Main lines, low angle first (2θ from 10° to 80°):
hkl  two_theta  intensity
1 1 0  18.93  26
1 0 1  20.58  100
1 1 1  24.62  20
2 0 0  26.90  68
0 0 2  31.47  23
2 1 1  34.11  58
2 2 0  38.41  27
2 0 2  41.87  42
2 2 2  50.47  25
3 2 1  52.30  18

Structural model:
Unit cell a=6.6283 b=6.6283 c=5.6854 alpha=90.00 beta=90.00 gamma=90.00
Space group P4/mmm (No. 123)
Symmetry-distinct sites (fractional):
Rb (0.0000, 0.5000, 0.0000) (multiplicity 2)
Na (0.0000, 0.0000, 0.5000) (multiplicity 1)
Hg (0.5000, 0.5000, 0.5000) (multiplicity 1)
Au (0.0000, 0.0000, 0.0000) (multiplicity 1)



# CaTbP2O8
Theoretical XRD peak list, Cu Kα. Input: DFT lattice parameters and positions (GGA-PBE).
Neutral-atom scattering factors, no anomalous dispersion.

Main lines, low angle first (2θ from 10° to 80°):
hkl  two_theta  intensity
0 0 1  12.56  14
1 0 0  19.08  71
0 1 1  22.90  100
1 0 2  31.85  63
1 1 0  33.36  47
0 2 1  40.85  14
1 1 2  42.30  30
0 2 2  46.79  35
1 2 1  53.72  18
2 1 2  58.67  19

Structural model:
Unit cell a=5.3724 b=5.3724 c=7.0486 alpha=90.00 beta=90.00 gamma=120.00
Space group P-3m1 (No. 164)
Symmetry-distinct sites (fractional):
Ca (0.0000, 0.0000, 0.0000) (multiplicity 1)
Tb (0.0000, 0.0000, 0.5000) (multiplicity 1)
P (0.3333, 0.6667, 0.7917) (multiplicity 2)
O (0.1760, 0.3520, 0.7199) (multiplicity 6)
O (0.3333, 0.6667, 0.0106) (multiplicity 2)



- Which formula does entry 5 have?
  Er2In2Ag3